Entry 1:
Computed powder diffraction line list of NaTe3Pt2 for λ = 1.5418 Å (Cu Kα), from a DFT-relaxed cell (GGA-PBE, Alexandria).
Peak positions follow from Bragg's law for the DFT cell and can differ from measured ones.

Crystal structure
Cell lengths 8.0749, 8.0749, 5.9303 Å; angles 90.00, 90.00, 120.00 degrees
Space group P-3m1 (No. 164)
Inequivalent atoms, fractional coordinates:
Na (0.3333, 0.6667, 0.3231) (multiplicity 2)
Te (0.1716, 0.3433, 0.7804) (multiplicity 6)
Pt (0.0000, 0.0000, 0.0000) (multiplicity 1)
Pt (0.0000, 0.5000, 0.0000) (multiplicity 3)

Main lines, sorted by position (10° ≤ 2θ ≤ 90°):
- 5.930 Å, 2θ = 14.94°, I = 70, (0 0 1)
- 3.012 Å, 2θ = 29.66°, I = 100, (2 0 1)
- 2.261 Å, 2θ = 39.86°, I = 63, (2 0 2)
- 2.019 Å, 2θ = 44.90°, I = 41, (2 2 0)
- 1.911 Å, 2θ = 47.58°, I = 23, (2 2 1)
- 1.721 Å, 2θ = 53.23°, I = 25, (0 2 3)
- 1.677 Å, 2θ = 54.74°, I = 18, (0 4 1)
- 1.506 Å, 2θ = 61.58°, I = 18, (0 4 2)
- 1.290 Å, 2θ = 73.40°, I = 15, (4 2 1)
- 1.207 Å, 2θ = 79.38°, I = 17, (4 2 2)



Entry 2:
Computed powder diffraction line list of Na2ThPt9 for λ = 1.5418 Å (Cu Kα), from a DFT-relaxed cell (GGA-PBE, Alexandria).
Peak positions follow from Bragg's law for the DFT cell and can differ from measured ones.

Crystal structure
Cell lengths 5.3783, 5.3783, 26.6009 Å; angles 90.00, 90.00, 120.00 degrees
Space group R-3m (No. 166, hexagonal axes)
Inequivalent atoms, fractional coordinates:
Na (0.0000, 0.0000, 0.1458) (multiplicity 6)
Th (0.0000, 0.0000, 0.0000) (multiplicity 3)
Pt (0.0000, 0.0000, 0.3331) (multiplicity 6)
Pt (0.0000, 0.0000, 0.5000) (multiplicity 3)
Pt (0.0023, 0.5011, 0.9155) (multiplicity 18)

Main lines, sorted by position (10° ≤ 2θ ≤ 90°):
- 4.588 Å, 2θ = 19.35°, I = 34, (1 0 1)
- 3.815 Å, 2θ = 23.32°, I = 16, (1 0 4)
- 2.320 Å, 2θ = 38.82°, I = 22, (0 2 1)
- 2.298 Å, 2θ = 39.20°, I = 100, (1 1 6)
- 2.217 Å, 2θ = 40.70°, I = 32, (0 0 12)
- 2.133 Å, 2θ = 42.37°, I = 32, (2 0 5)
- 1.986 Å, 2θ = 45.67°, I = 26, (0 2 7)
- 1.465 Å, 2θ = 63.49°, I = 21, (0 3 6)
- 1.345 Å, 2θ = 69.97°, I = 21, (2 2 0)
- 1.150 Å, 2θ = 84.22°, I = 25, (2 2 12)



Entry 3:
Computed powder diffraction line list of Na3Tl3Pt2 for λ = 1.5418 Å (Cu Kα), from a DFT-relaxed cell (GGA-PBE, Alexandria).
Peak positions follow from Bragg's law for the DFT cell and can differ from measured ones.

Crystal structure
Cell lengths 4.6415, 10.9818, 16.0606 Å; angles 90.00, 90.00, 90.00 degrees
Space group Cmcm (No. 63)
Inequivalent atoms, fractional coordinates:
Na (0.0000, 0.0651, 0.1079) (multiplicity 8)
Na (0.0000, 0.3449, 0.2500) (multiplicity 4)
Tl (0.0000, 0.3626, 0.0379) (multiplicity 8)
Tl (0.0000, 0.3668, 0.7500) (multiplicity 4)
Pt (0.0000, 0.2238, 0.6127) (multiplicity 8)

Main lines, sorted by position (10° ≤ 2θ ≤ 90°):
- 5.491 Å, 2θ = 16.14°, I = 80, (0 2 0)
- 4.131 Å, 2θ = 21.51°, I = 78, (1 1 1)
- 3.833 Å, 2θ = 23.20°, I = 100, (0 2 3)
- 2.927 Å, 2θ = 30.54°, I = 63, (1 1 4)
- 2.532 Å, 2θ = 35.45°, I = 90, (1 3 3)
- 2.337 Å, 2θ = 38.52°, I = 62, (1 3 4)
- 2.321 Å, 2θ = 38.80°, I = 58, (2 0 0)
- 2.266 Å, 2θ = 39.77°, I = 51, (0 4 4)
- 2.022 Å, 2θ = 44.83°, I = 85, (1 1 7)
- 1.985 Å, 2θ = 45.70°, I = 52, (1 5 0)



Entry 4:
Computed powder diffraction line list of Na4Tl5Pt for λ = 1.5418 Å (Cu Kα), from a DFT-relaxed cell (GGA-PBE, Alexandria).
Peak positions follow from Bragg's law for the DFT cell and can differ from measured ones.

Crystal structure
Cell lengths 10.6081, 10.6081, 5.3064 Å; angles 90.00, 90.00, 90.00 degrees
Space group I4/mmm (No. 139)
Inequivalent atoms, fractional coordinates:
Na (0.0000, 0.3140, 0.0000) (multiplicity 8)
Tl (0.0000, 0.0000, 0.0000) (multiplicity 2)
Tl (0.1867, 0.1867, 0.5000) (multiplicity 8)
Pt (0.0000, 0.0000, 0.5000) (multiplicity 2)

Main lines, sorted by position (10° ≤ 2θ ≤ 90°):
- 7.501 Å, 2θ = 11.80°, I = 100, (1 1 0)
- 4.746 Å, 2θ = 18.70°, I = 24, (1 0 1)
- 3.751 Å, 2θ = 23.72°, I = 48, (2 2 0)
- 2.943 Å, 2θ = 30.38°, I = 73, (3 0 1)
- 2.653 Å, 2θ = 33.79°, I = 39, (0 0 2)
- 2.573 Å, 2θ = 34.87°, I = 35, (3 2 1)
- 2.501 Å, 2θ = 35.91°, I = 60, (3 3 0)
- 2.166 Å, 2θ = 41.70°, I = 22, (2 2 2)
- 1.820 Å, 2θ = 50.13°, I = 37, (3 3 2)
- 1.768 Å, 2θ = 51.70°, I = 19, (6 0 0)



Entry 5:
Computed powder diffraction line list of Na3Tl2Pt for λ = 1.5418 Å (Cu Kα), from a DFT-relaxed cell (GGA-PBE, Alexandria).
Peak positions follow from Bragg's law for the DFT cell and can differ from measured ones.

Crystal structure
Cell lengths 9.5846, 12.3596, 5.9821 Å; angles 90.00, 90.00, 90.00 degrees
Space group Ibam (No. 72)
Inequivalent atoms, fractional coordinates:
Na (0.0000, 0.0000, 0.2500) (multiplicity 4)
Na (0.1234, 0.3103, 0.0000) (multiplicity 8)
Tl (0.2193, 0.4127, 0.5000) (multiplicity 8)
Pt (0.0000, 0.5000, 0.2500) (multiplicity 4)

Main lines, sorted by position (10° ≤ 2θ ≤ 90°):
- 7.574 Å, 2θ = 11.68°, I = 100, (1 1 0)
- 6.180 Å, 2θ = 14.33°, I = 70, (0 2 0)
- 3.922 Å, 2θ = 22.67°, I = 79, (1 2 1)
- 2.639 Å, 2θ = 33.97°, I = 34, (1 4 1)
- 2.597 Å, 2θ = 34.54°, I = 25, (2 4 0)
- 2.564 Å, 2θ = 34.99°, I = 26, (3 2 1)
- 2.537 Å, 2θ = 35.37°, I = 42, (2 0 2)
- 2.347 Å, 2θ = 38.35°, I = 38, (2 2 2)
- 2.150 Å, 2θ = 42.03°, I = 36, (0 4 2)
- 1.893 Å, 2θ = 48.06°, I = 28, (2 6 0)



Entry 6:
Computed powder diffraction line list of Na17Tl11Pt for λ = 1.5418 Å (Cu Kα), from a DFT-relaxed cell (GGA-PBE, Alexandria).
Peak positions follow from Bragg's law for the DFT cell and can differ from measured ones.

Crystal structure
Cell lengths 11.8252, 17.0388, 10.1478 Å; angles 90.00, 125.08, 90.00 degrees
Space group Cm (No. 8)
Inequivalent atoms, fractional coordinates:
Na (0.0000, 0.0000, 0.0000) (multiplicity 2)
Na (0.0001, 0.0000, 0.3494) (multiplicity 2)
Na (0.0712, 0.3457, 0.4210) (multiplicity 4)
Na (0.1439, 0.5000, 0.6714) (multiplicity 2)
Na (0.1624, 0.1473, 0.6098) (multiplicity 4)
Na (0.1671, 0.1628, 0.0028) (multiplicity 4)
Na (0.1887, 0.5000, 0.2895) (multiplicity 2)
Na (0.2971, 0.2908, 0.3191) (multiplicity 4)
Na (0.3912, 0.0000, 0.7503) (multiplicity 2)
Na (0.4423, 0.1410, 0.0076) (multiplicity 4)
Na (0.4893, 0.2056, 0.7030) (multiplicity 4)
Tl (0.0050, 0.1872, 0.1986) (multiplicity 4)
Tl (0.2124, 0.4044, 0.0136) (multiplicity 4)
Tl (0.2931, 0.0933, 0.3943) (multiplicity 4)
Tl (0.3115, 0.3104, 0.8129) (multiplicity 4)
Tl (0.3603, 0.0000, 0.1598) (multiplicity 2)
Tl (0.4224, 0.4067, 0.6356) (multiplicity 4)
Pt (0.1658, 0.0000, 0.8299) (multiplicity 2)

Main lines, sorted by position (10° ≤ 2θ ≤ 90°):
- 4.892 Å, 2θ = 18.13°, I = 100, (1 3 -1)
- 4.853 Å, 2θ = 18.28°, I = 82, (2 2 -1)
- 4.827 Å, 2θ = 18.38°, I = 49, (1 1 1)
- 4.794 Å, 2θ = 18.51°, I = 69, (2 0 -2)
- 2.818 Å, 2θ = 31.75°, I = 59, (1 5 -2)
- 2.792 Å, 2θ = 32.05°, I = 57, (4 0 -1)
- 2.779 Å, 2θ = 32.21°, I = 39, (4 0 -3)
- 2.560 Å, 2θ = 35.05°, I = 36, (2 6 -1)
- 2.547 Å, 2θ = 35.23°, I = 68, (3 5 -2)
- 2.500 Å, 2θ = 35.93°, I = 45, (2 0 -4)



Entry 7:
Computed powder diffraction line list of Na2Zn5Pt3 for λ = 1.5418 Å (Cu Kα), from a DFT-relaxed cell (GGA-PBE, Alexandria).
Peak positions follow from Bragg's law for the DFT cell and can differ from measured ones.

Crystal structure
Cell lengths 10.8022, 12.0250, 5.6093 Å; angles 90.00, 102.95, 90.00 degrees
Space group C2/c (No. 15)
Inequivalent atoms, fractional coordinates:
Na (0.1203, 0.2126, 0.0434) (multiplicity 8)
Zn (0.0000, 0.0041, 0.7500) (multiplicity 4)
Zn (0.1151, 0.3362, 0.5174) (multiplicity 8)
Zn (0.2109, 0.4697, 0.0936) (multiplicity 8)
Pt (0.0000, 0.4876, 0.7500) (multiplicity 4)
Pt (0.1517, 0.1289, 0.5515) (multiplicity 8)

Main lines, sorted by position (10° ≤ 2θ ≤ 90°):
- 6.013 Å, 2θ = 14.73°, I = 86, (0 2 0)
- 4.902 Å, 2θ = 18.10°, I = 48, (1 1 -1)
- 4.182 Å, 2θ = 21.25°, I = 100, (1 1 1)
- 3.746 Å, 2θ = 23.75°, I = 42, (1 3 0)
- 3.500 Å, 2θ = 25.45°, I = 66, (2 2 -1)
- 2.411 Å, 2θ = 37.30°, I = 54, (4 2 0)
- 2.230 Å, 2θ = 40.44°, I = 59, (2 0 2)
- 2.152 Å, 2θ = 41.98°, I = 74, (4 0 -2)
- 2.023 Å, 2θ = 44.80°, I = 58, (0 4 2)
- 1.980 Å, 2θ = 45.82°, I = 67, (4 4 0)



Entry 8:
Computed powder diffraction line list of Na3Zn9Pt2 for λ = 1.5418 Å (Cu Kα), from a DFT-relaxed cell (GGA-PBE, Alexandria).
Peak positions follow from Bragg's law for the DFT cell and can differ from measured ones.

Crystal structure
Cell lengths 4.2331, 9.1616, 12.9624 Å; angles 90.00, 90.00, 90.00 degrees
Space group Immm (No. 71)
Inequivalent atoms, fractional coordinates:
Na (0.0000, 0.0000, 0.0000) (multiplicity 2)
Na (0.0000, 0.0000, 0.3070) (multiplicity 4)
Zn (0.0000, 0.2798, 0.1227) (multiplicity 8)
Zn (0.0000, 0.3563, 0.3272) (multiplicity 8)
Zn (0.0000, 0.5000, 0.0000) (multiplicity 2)
Pt (0.0000, 0.1968, 0.5000) (multiplicity 4)

Main lines, sorted by position (10° ≤ 2θ ≤ 90°):
- 7.482 Å, 2θ = 11.83°, I = 47, (0 1 1)
- 6.481 Å, 2θ = 13.66°, I = 66, (0 0 2)
- 4.581 Å, 2θ = 19.38°, I = 88, (0 2 0)
- 2.524 Å, 2θ = 35.58°, I = 100, (1 2 3)
- 2.313 Å, 2θ = 38.93°, I = 77, (1 3 2)
- 2.211 Å, 2θ = 40.82°, I = 61, (1 0 5)
- 2.160 Å, 2θ = 41.82°, I = 39, (0 0 6)
- 2.117 Å, 2θ = 42.72°, I = 59, (2 0 0)
- 1.991 Å, 2θ = 45.56°, I = 68, (1 2 5)
- 1.968 Å, 2θ = 46.13°, I = 58, (1 3 4)



Entry 9:
Computed powder diffraction line list of NaZn10Pt2 for λ = 1.5418 Å (Cu Kα), from a DFT-relaxed cell (GGA-PBE, Alexandria).
Peak positions follow from Bragg's law for the DFT cell and can differ from measured ones.

Crystal structure
Cell lengths 8.9570, 10.5363, 8.9230 Å; angles 90.00, 90.00, 90.00 degrees
Space group Cmcm (No. 63)
Inequivalent atoms, fractional coordinates:
Na (0.0000, 0.1336, 0.2500) (multiplicity 4)
Zn (0.0000, 0.1476, 0.6011) (multiplicity 8)
Zn (0.0000, 0.3798, 0.0451) (multiplicity 8)
Zn (0.1559, 0.3722, 0.7500) (multiplicity 8)
Zn (0.2266, 0.0000, 0.0000) (multiplicity 8)
Zn (0.2294, 0.3784, 0.2500) (multiplicity 8)
Pt (0.2500, 0.2500, 0.0000) (multiplicity 8)

Main lines, sorted by position (10° ≤ 2θ ≤ 90°):
- 5.268 Å, 2θ = 16.83°, I = 30, (0 2 0)
- 4.471 Å, 2θ = 19.86°, I = 85, (2 0 0)
- 3.408 Å, 2θ = 26.15°, I = 29, (0 2 2)
- 2.271 Å, 2θ = 39.69°, I = 43, (2 4 0)
- 2.268 Å, 2θ = 39.74°, I = 45, (0 4 2)
- 2.240 Å, 2θ = 40.25°, I = 55, (4 0 0)
- 2.231 Å, 2θ = 40.44°, I = 28, (0 0 4)
- 2.024 Å, 2θ = 44.79°, I = 100, (2 4 2)
- 2.001 Å, 2θ = 45.32°, I = 26, (4 0 2)
- 1.997 Å, 2θ = 45.42°, I = 37, (2 0 4)



Entry 10:
Computed powder diffraction line list of Na2ZnPt3 for λ = 1.5418 Å (Cu Kα), from a DFT-relaxed cell (GGA-PBE, Alexandria).
Peak positions follow from Bragg's law for the DFT cell and can differ from measured ones.

Crystal structure
Cell lengths 8.9725, 5.4383, 5.2347 Å; angles 90.00, 122.69, 90.00 degrees
Space group C2/m (No. 12)
Inequivalent atoms, fractional coordinates:
Na (0.1216, 0.0000, 0.3783) (multiplicity 4)
Zn (0.0000, 0.5000, 0.0000) (multiplicity 2)
Pt (0.0000, 0.5000, 0.5000) (multiplicity 2)
Pt (0.2500, 0.2500, 0.0000) (multiplicity 4)

Main lines, sorted by position (10° ≤ 2θ ≤ 90°):
- 4.410 Å, 2θ = 20.13°, I = 75, (1 1 0)
- 4.198 Å, 2θ = 21.16°, I = 94, (2 0 -1)
- 2.314 Å, 2θ = 38.92°, I = 79, (2 0 1)
- 2.282 Å, 2θ = 39.49°, I = 46, (3 1 0)
- 2.221 Å, 2θ = 40.62°, I = 22, (4 0 -1)
- 2.205 Å, 2θ = 40.92°, I = 100, (2 2 0)
- 2.099 Å, 2θ = 43.09°, I = 28, (4 0 -2)
- 1.886 Å, 2θ = 48.27°, I = 53, (4 0 0)
- 1.721 Å, 2θ = 53.21°, I = 16, (4 2 -1)
- 1.359 Å, 2θ = 69.11°, I = 24, (2 2 2)



Entry 11:
Computed powder diffraction line list of Na5PuS4 for λ = 1.5418 Å (Cu Kα), from a DFT-relaxed cell (GGA-PBE, Alexandria).
Peak positions follow from Bragg's law for the DFT cell and can differ from measured ones.

Crystal structure
Cell lengths 4.2543, 7.5390, 15.4043 Å; angles 90.00, 90.00, 90.00 degrees
Space group Immm (No. 71)
Inequivalent atoms, fractional coordinates:
Na (0.0000, 0.0000, 0.0000) (multiplicity 2)
Na (0.0000, 0.2317, 0.3245) (multiplicity 8)
Pu (0.0000, 0.5000, 0.0000) (multiplicity 2)
S (0.0000, 0.2451, 0.5000) (multiplicity 4)
S (0.0000, 0.5000, 0.1913) (multiplicity 4)

Main lines, sorted by position (10° ≤ 2θ ≤ 90°):
- 7.702 Å, 2θ = 11.49°, I = 53, (0 0 2)
- 6.772 Å, 2θ = 13.07°, I = 100, (0 1 1)
- 3.851 Å, 2θ = 23.10°, I = 22, (0 0 4)
- 3.705 Å, 2θ = 24.02°, I = 30, (1 1 0)
- 3.339 Å, 2θ = 26.70°, I = 17, (1 1 2)
- 2.852 Å, 2θ = 31.37°, I = 18, (0 1 5)
- 2.775 Å, 2θ = 32.26°, I = 64, (1 2 1)
- 2.670 Å, 2θ = 33.56°, I = 17, (1 1 4)
- 2.567 Å, 2θ = 34.95°, I = 17, (0 0 6)
- 2.081 Å, 2θ = 43.49°, I = 41, (1 2 5)



Entry 12:
Computed powder diffraction line list of NaPuS for λ = 1.5418 Å (Cu Kα), from a DFT-relaxed cell (GGA-PBE, Alexandria).
Peak positions follow from Bragg's law for the DFT cell and can differ from measured ones.

Crystal structure
Cell lengths 11.0507, 9.5236, 7.5792 Å; angles 90.00, 90.00, 90.00 degrees
Space group Cmce (No. 64)
Inequivalent atoms, fractional coordinates:
Na (0.1850, 0.0000, 0.0000) (multiplicity 8)
Pu (0.0000, 0.1428, 0.4159) (multiplicity 8)
S (0.0000, 0.1023, 0.7732) (multiplicity 8)

Main lines, sorted by position (10° ≤ 2θ ≤ 90°):
- 5.525 Å, 2θ = 16.04°, I = 100, (2 0 0)
- 5.225 Å, 2θ = 16.97°, I = 68, (1 1 1)
- 3.355 Å, 2θ = 26.57°, I = 52, (1 1 2)
- 3.129 Å, 2θ = 28.53°, I = 37, (3 1 1)
- 2.830 Å, 2θ = 31.61°, I = 45, (1 3 1)
- 2.763 Å, 2θ = 32.41°, I = 21, (4 0 0)
- 2.545 Å, 2θ = 35.26°, I = 25, (3 1 2)
- 2.232 Å, 2θ = 40.42°, I = 23, (0 2 3)
- 2.070 Å, 2θ = 43.74°, I = 39, (2 2 3)
- 1.736 Å, 2θ = 52.73°, I = 20, (4 2 3)